# LuF3
Simulated PXRD pattern, Cu Kα (λ = 1.5418 Å). Input: a cell relaxed with GGA-PBE.
Lines closer than 0.1° are merged.

Largest 6 diffraction maxima, in order of falling intensity, 2θ = 10–80°:
| 2θ (°) | d_spacing | I_rel |
| --- | --- | --- |
| 24.5 | 3.635 | 100 |
| 19.9 | 4.466 | 60 |
| 49.9 | 1.826 | 59 |
| 34.6 | 2.596 | 58 |
| 31.6 | 2.830 | 40 |
| 19.7 | 4.511 | 33 |

```
data_LuF3
_chemical_formula_sum 'Lu4 F12'
_symmetry_space_group_name_H-M 'P 42/m n m'
_symmetry_Int_Tables_number 136
_symmetry_space_group_name_Hall '-P 4n 2n'
_cell_length_a 5.1404
_cell_length_b 5.1404
_cell_length_c 9.0225
_cell_angle_alpha 90.00
_cell_angle_beta 90.00
_cell_angle_gamma 90.00
loop_
_atom_site_label
_atom_site_fract_x
_atom_site_fract_y
_atom_site_fract_z
_atom_site_occupancy
Lu1 0.0000 0.0000 0.1810 1
F1 0.1856 0.1856 0.0000 1
F2 0.2132 0.2132 0.3332 1
```